Starting from a crystal structure in Alexandria, relaxed with GGA-PBE, the PXRD pattern of Pr2Ho7Tm2 was calculated for Cu Kα.
Peak positions follow from Bragg's law for the DFT cell and can differ from measured ones.

The 10 most intense peaks (10° ≤ 2θ ≤ 80°), low angle first:
| 2theta | d (Å) | intensity |
| --- | --- | --- |
| 25.6 | 3.476 | 23 |
| 30.0 | 2.981 | 14 |
| 31.0 | 2.888 | 28 |
| 31.3 | 2.854 | 48 |
| 31.8 | 2.811 | 28 |
| 32.1 | 2.790 | 100 |
| 33.9 | 2.643 | 38 |
| 34.0 | 2.634 | 30 |
| 45.3 | 2.003 | 17 |
| 56.3 | 1.635 | 15 |

Crystal structure
Cell lengths 8.0233, 8.0233, 6.0288 Å; angles 106.21, 106.21, 90.72 degrees
Atoms (fractional coordinates):
Pr: 0.2300 0.2300 0.0940
Pr: 0.7700 0.7700 0.9060
Ho: 0.0000 0.0000 0.5000
Ho: 0.0606 0.5909 0.3254
Ho: 0.4091 0.9394 0.6746
Ho: 0.4137 0.4137 0.6995
Ho: 0.5863 0.5863 0.3005
Ho: 0.5909 0.0606 0.3254
Ho: 0.9394 0.4091 0.6746
Tm: 0.2194 0.7806 0.0000
Tm: 0.7806 0.2194 0.0000

Starting from a crystal structure in Alexandria, relaxed with GGA-PBE, the PXRD pattern of Pr4HoTm3 was calculated for Cu Kα.
Peak positions follow from Bragg's law for the DFT cell and can differ from measured ones.

The 10 most intense peaks (10° ≤ 2θ ≤ 80°), low angle first:
| 2theta | d (Å) | intensity |
| --- | --- | --- |
| 28.1 | 3.170 | 23 |
| 28.3 | 3.149 | 12 |
| 30.9 | 2.894 | 37 |
| 32.2 | 2.781 | 100 |
| 32.4 | 2.766 | 48 |
| 42.3 | 2.138 | 15 |
| 50.1 | 1.822 | 19 |
| 55.8 | 1.648 | 21 |
| 60.0 | 1.542 | 22 |
| 60.6 | 1.529 | 16 |

Crystal structure
Cell lengths 11.5778, 7.3380, 6.2984 Å; angles 90.00, 90.00, 90.00 degrees
Atoms (fractional coordinates):
Pr: 0.0000 0.1297 0.0000
Pr: 0.0000 0.8693 0.5086
Pr: 0.2471 0.1293 0.3441
Pr: 0.2529 0.8707 0.8441
Pr: 0.5000 0.1307 0.0086
Pr: 0.5000 0.8703 0.5000
Pr: 0.7471 0.8707 0.8441
Pr: 0.7529 0.1293 0.3441
Ho: 0.0000 0.6207 0.0097
Ho: 0.5000 0.3793 0.5097
Tm: 0.0000 0.3833 0.5071
Tm: 0.2497 0.3816 0.8411
Tm: 0.2503 0.6184 0.3411
Tm: 0.5000 0.6167 0.0071
Tm: 0.7503 0.3816 0.8411
Tm: 0.7497 0.6184 0.3411

Starting from a crystal structure in Alexandria, relaxed with GGA-PBE, the PXRD pattern of Pr15HoTm4 was calculated for Cu Kα.
Peak positions follow from Bragg's law for the DFT cell and can differ from measured ones.

The 10 most intense peaks (10° ≤ 2θ ≤ 80°), low angle first:
| 2theta | d (Å) | intensity |
| --- | --- | --- |
| 29.9 | 2.986 | 100 |
| 34.6 | 2.590 | 34 |
| 34.8 | 2.579 | 17 |
| 49.8 | 1.831 | 12 |
| 49.9 | 1.827 | 24 |
| 59.2 | 1.561 | 29 |
| 59.4 | 1.556 | 14 |
| 62.2 | 1.493 | 12 |
| 73.1 | 1.295 | 4 |
| 73.4 | 1.289 | 2 |

Crystal structure
Cell lengths 5.1791, 5.1791, 25.7866 Å; angles 90.00, 90.00, 90.00 degrees
Atoms (fractional coordinates):
Pr: 0.0000 0.0000 0.0000
Pr: 0.0000 0.0000 0.2002
Pr: 0.0000 0.0000 0.4000
Pr: 0.0000 0.0000 0.6000
Pr: 0.0000 0.0000 0.7998
Pr: 0.0000 0.5000 0.1004
Pr: 0.0000 0.5000 0.3001
Pr: 0.0000 0.5000 0.5000
Pr: 0.0000 0.5000 0.6999
Pr: 0.0000 0.5000 0.8996
Pr: 0.5000 0.0000 0.1004
Pr: 0.5000 0.0000 0.3001
Pr: 0.5000 0.0000 0.5000
Pr: 0.5000 0.0000 0.6999
Pr: 0.5000 0.0000 0.8996
Ho: 0.5000 0.5000 0.0000
Tm: 0.5000 0.5000 0.2002
Tm: 0.5000 0.5000 0.4000
Tm: 0.5000 0.5000 0.6000
Tm: 0.5000 0.5000 0.7998

Starting from a crystal structure in Alexandria, relaxed with GGA-PBE, the PXRD pattern of Pr12Ho5Tm was calculated for Cu Kα.
Peak positions follow from Bragg's law for the DFT cell and can differ from measured ones.

The 10 most intense peaks (10° ≤ 2θ ≤ 80°), low angle first:
| 2theta | d (Å) | intensity |
| --- | --- | --- |
| 30.0 | 2.982 | 100 |
| 34.6 | 2.589 | 34 |
| 34.9 | 2.571 | 17 |
| 49.8 | 1.831 | 12 |
| 50.0 | 1.824 | 24 |
| 59.2 | 1.560 | 29 |
| 59.6 | 1.552 | 14 |
| 62.3 | 1.491 | 12 |
| 73.1 | 1.295 | 4 |
| 73.7 | 1.285 | 2 |

Crystal structure
Cell lengths 10.9439, 10.9439, 5.1796 Å; angles 90.00, 90.00, 90.40 degrees
Atoms (fractional coordinates):
Pr: 0.0025 0.6692 0.5000
Pr: 0.1639 0.1639 0.0000
Pr: 0.1688 0.5020 0.0000
Pr: 0.3308 0.9975 0.5000
Pr: 0.3351 0.3351 0.5000
Pr: 0.4980 0.8312 0.0000
Pr: 0.5020 0.1688 0.0000
Pr: 0.6649 0.6649 0.5000
Pr: 0.6692 0.0025 0.5000
Pr: 0.8312 0.4980 0.0000
Pr: 0.8361 0.8361 0.0000
Pr: 0.9975 0.3308 0.5000
Ho: 0.1667 0.8333 0.0000
Ho: 0.3336 0.6664 0.5000
Ho: 0.5000 0.5000 0.0000
Ho: 0.6664 0.3336 0.5000
Ho: 0.8333 0.1667 0.0000
Tm: 0.0000 0.0000 0.5000

Starting from a crystal structure in Alexandria, relaxed with GGA-PBE, the PXRD pattern of Pr4HoTm7 was calculated for Cu Kα.
Peak positions follow from Bragg's law for the DFT cell and can differ from measured ones.

The 10 most intense peaks (10° ≤ 2θ ≤ 80°), low angle first:
| 2theta | d (Å) | intensity |
| --- | --- | --- |
| 30.7 | 2.914 | 100 |
| 30.8 | 2.903 | 33 |
| 35.6 | 2.523 | 45 |
| 35.7 | 2.518 | 22 |
| 51.1 | 1.786 | 16 |
| 51.3 | 1.782 | 24 |
| 60.8 | 1.523 | 14 |
| 60.9 | 1.521 | 19 |
| 61.0 | 1.519 | 14 |
| 63.9 | 1.457 | 12 |

Crystal structure
Cell lengths 7.1218, 7.9634, 7.9708 Å; angles 95.89, 116.36, 102.72 degrees
Atoms (fractional coordinates):
Pr: 0.0005 0.3306 0.3354
Pr: 0.2521 0.6680 0.1696
Pr: 0.7479 0.3320 0.8304
Pr: 0.9995 0.6694 0.6646
Ho: 0.5000 0.0000 0.0000
Tm: 0.0000 0.0000 0.0000
Tm: 0.2493 0.9991 0.4992
Tm: 0.2505 0.3312 0.8351
Tm: 0.4972 0.3297 0.3299
Tm: 0.5028 0.6703 0.6701
Tm: 0.7495 0.6688 0.1649
Tm: 0.7507 0.0009 0.5008

Starting from a crystal structure in Alexandria, relaxed with GGA-PBE, the PXRD pattern of Pr4Ho10Tm was calculated for Cu Kα.
Peak positions follow from Bragg's law for the DFT cell and can differ from measured ones.

The 10 most intense peaks (10° ≤ 2θ ≤ 80°), low angle first:
| 2theta | d (Å) | intensity |
| --- | --- | --- |
| 25.0 | 3.568 | 14 |
| 27.4 | 3.250 | 24 |
| 30.7 | 2.913 | 27 |
| 31.7 | 2.819 | 100 |
| 33.7 | 2.658 | 35 |
| 34.8 | 2.580 | 15 |
| 40.8 | 2.212 | 33 |
| 53.3 | 1.719 | 15 |
| 65.9 | 1.418 | 13 |
| 67.4 | 1.389 | 17 |

Crystal structure
Cell lengths 8.9173, 8.9173, 8.9173 Å; angles 101.46, 101.46, 127.05 degrees
Atoms (fractional coordinates):
Pr: 0.2273 0.2273 0.4547
Pr: 0.2273 0.7727 0.0000
Pr: 0.7727 0.2273 0.0000
Pr: 0.7727 0.7727 0.5453
Ho: 0.0854 0.2934 0.7920
Ho: 0.2500 0.7500 0.5000
Ho: 0.2934 0.0854 0.7920
Ho: 0.2934 0.5014 0.2080
Ho: 0.4986 0.7066 0.7920
Ho: 0.5014 0.2934 0.2080
Ho: 0.7066 0.4986 0.7920
Ho: 0.7066 0.9146 0.2080
Ho: 0.7500 0.2500 0.5000
Ho: 0.9146 0.7066 0.2080
Tm: 0.0000 0.0000 0.0000

Starting from a crystal structure in Alexandria, relaxed with GGA-PBE, the PXRD pattern of Pr3Ho3Tm5 was calculated for Cu Kα.
Peak positions follow from Bragg's law for the DFT cell and can differ from measured ones.

The 10 most intense peaks (10° ≤ 2θ ≤ 80°), low angle first:
| 2theta | d (Å) | intensity |
| --- | --- | --- |
| 10.6 | 8.335 | 46 |
| 16.4 | 5.418 | 67 |
| 27.0 | 3.303 | 87 |
| 28.3 | 3.150 | 42 |
| 32.2 | 2.778 | 56 |
| 32.9 | 2.723 | 85 |
| 33.1 | 2.709 | 61 |
| 36.3 | 2.472 | 100 |
| 46.8 | 1.940 | 40 |
| 61.2 | 1.513 | 45 |

Crystal structure
Cell lengths 9.6246, 9.6246, 5.4178 Å; angles 90.00, 90.00, 120.00 degrees
Atoms (fractional coordinates):
Pr: 0.0000 0.3656 0.0000
Pr: 0.3656 0.0000 0.0000
Pr: 0.6344 0.6344 0.0000
Ho: 0.0000 0.5450 0.5000
Ho: 0.4550 0.4550 0.5000
Ho: 0.5450 0.0000 0.5000
Tm: 0.0000 0.7329 0.0000
Tm: 0.2671 0.2671 0.0000
Tm: 0.3333 0.6667 0.0000
Tm: 0.6667 0.3333 0.0000
Tm: 0.7329 0.0000 0.0000

Starting from a crystal structure in Alexandria, relaxed with GGA-PBE, the PXRD pattern of Pr2Ho4Tm7 was calculated for Cu Kα.
Peak positions follow from Bragg's law for the DFT cell and can differ from measured ones.

The 10 most intense peaks (10° ≤ 2θ ≤ 80°), low angle first:
| 2theta | d (Å) | intensity |
| --- | --- | --- |
| 26.7 | 3.338 | 20 |
| 30.5 | 2.934 | 50 |
| 32.7 | 2.742 | 100 |
| 33.6 | 2.670 | 15 |
| 36.0 | 2.492 | 32 |
| 40.4 | 2.234 | 14 |
| 51.1 | 1.789 | 19 |
| 52.7 | 1.737 | 31 |
| 63.4 | 1.467 | 15 |
| 63.8 | 1.459 | 14 |

Crystal structure
Cell lengths 6.0161, 6.0161, 13.3507 Å; angles 90.00, 90.00, 120.00 degrees
Atoms (fractional coordinates):
Pr: 0.3333 0.6667 0.0000
Pr: 0.6667 0.3333 0.0000
Ho: 0.0000 0.0000 0.3955
Ho: 0.0000 0.0000 0.6045
Ho: 0.3333 0.6667 0.5000
Ho: 0.6667 0.3333 0.5000
Tm: 0.0000 0.0000 0.0000
Tm: 0.0000 0.3478 0.2154
Tm: 0.0000 0.6522 0.7846
Tm: 0.3478 0.0000 0.2154
Tm: 0.3478 0.3478 0.7846
Tm: 0.6522 0.0000 0.7846
Tm: 0.6522 0.6522 0.2154

Starting from a crystal structure in Alexandria, relaxed with GGA-PBE, the PXRD pattern of Pr2Ho8Tm was calculated for Cu Kα.
Peak positions follow from Bragg's law for the DFT cell and can differ from measured ones.

The 10 most intense peaks (10° ≤ 2θ ≤ 80°), low angle first:
| 2theta | d (Å) | intensity |
| --- | --- | --- |
| 26.9 | 3.317 | 15 |
| 28.7 | 3.111 | 23 |
| 30.3 | 2.953 | 59 |
| 30.7 | 2.916 | 23 |
| 31.3 | 2.861 | 27 |
| 31.9 | 2.806 | 100 |
| 32.5 | 2.753 | 47 |
| 36.8 | 2.440 | 15 |
| 47.5 | 1.913 | 16 |
| 60.6 | 1.527 | 14 |

Crystal structure
Cell lengths 9.1846, 9.1846, 5.8823 Å; angles 105.39, 105.39, 121.18 degrees
Atoms (fractional coordinates):
Pr: 0.1935 0.8065 0.0000
Pr: 0.8065 0.1935 0.0000
Ho: 0.0741 0.0741 0.2977
Ho: 0.1722 0.4016 0.8283
Ho: 0.2928 0.7072 0.5000
Ho: 0.4016 0.1722 0.8283
Ho: 0.5984 0.8278 0.1717
Ho: 0.7072 0.2928 0.5000
Ho: 0.8278 0.5984 0.1717
Ho: 0.9259 0.9259 0.7023
Tm: 0.5000 0.5000 0.5000

Starting from a crystal structure in Alexandria, relaxed with GGA-PBE, the PXRD pattern of Pr4Ho5Tm2 was calculated for Cu Kα.
Peak positions follow from Bragg's law for the DFT cell and can differ from measured ones.

The 10 most intense peaks (10° ≤ 2θ ≤ 80°), low angle first:
| 2theta | d (Å) | intensity |
| --- | --- | --- |
| 30.9 | 2.891 | 19 |
| 31.1 | 2.874 | 13 |
| 31.4 | 2.849 | 100 |
| 31.7 | 2.826 | 30 |
| 44.8 | 2.021 | 14 |
| 45.1 | 2.008 | 9 |
| 56.2 | 1.637 | 19 |
| 56.3 | 1.635 | 9 |
| 60.1 | 1.539 | 6 |
| 62.1 | 1.495 | 6 |

Crystal structure
Cell lengths 9.9820, 9.9820, 6.6727 Å; angles 90.62, 90.62, 32.89 degrees
Atoms (fractional coordinates):
Pr: 0.0201 0.0201 0.2886
Pr: 0.3069 0.3069 0.9292
Pr: 0.6931 0.6931 0.0708
Pr: 0.9799 0.9799 0.7114
Ho: 0.1302 0.1302 0.8866
Ho: 0.2089 0.2089 0.4024
Ho: 0.5000 0.5000 0.0000
Ho: 0.7911 0.7911 0.5976
Ho: 0.8698 0.8698 0.1134
Tm: 0.4021 0.4021 0.4442
Tm: 0.5979 0.5979 0.5558

Starting from a crystal structure in Alexandria, relaxed with GGA-PBE, the PXRD pattern of Pr10HoTm4 was calculated for Cu Kα.
Peak positions follow from Bragg's law for the DFT cell and can differ from measured ones.

The 10 most intense peaks (10° ≤ 2θ ≤ 80°), low angle first:
| 2theta | d (Å) | intensity |
| --- | --- | --- |
| 19.6 | 4.522 | 31 |
| 22.7 | 3.917 | 8 |
| 32.3 | 2.769 | 100 |
| 38.1 | 2.362 | 18 |
| 46.3 | 1.962 | 6 |
| 46.4 | 1.956 | 12 |
| 50.8 | 1.797 | 8 |
| 57.7 | 1.599 | 38 |
| 67.6 | 1.385 | 8 |
| 77.1 | 1.238 | 11 |

Crystal structure
Cell lengths 9.5889, 9.5889, 9.5889 Å; angles 99.64, 99.64, 131.69 degrees
Atoms (fractional coordinates):
Pr: 0.0494 0.3500 0.8988
Pr: 0.1506 0.0494 0.6994
Pr: 0.2500 0.7500 0.5000
Pr: 0.3500 0.4512 0.3006
Pr: 0.4512 0.1506 0.1012
Pr: 0.5488 0.8494 0.8988
Pr: 0.6500 0.5488 0.6994
Pr: 0.7500 0.2500 0.5000
Pr: 0.8494 0.9506 0.3006
Pr: 0.9506 0.6500 0.1012
Ho: 0.0000 0.0000 0.0000
Tm: 0.2005 0.3997 0.6001
Tm: 0.3997 0.7995 0.1992
Tm: 0.6003 0.2005 0.8008
Tm: 0.7995 0.6003 0.3999

Starting from a crystal structure in Alexandria, relaxed with GGA-PBE, the PXRD pattern of PrHo5Tm3 was calculated for Cu Kα.
Peak positions follow from Bragg's law for the DFT cell and can differ from measured ones.

The 10 most intense peaks (10° ≤ 2θ ≤ 80°), low angle first:
| 2theta | d (Å) | intensity |
| --- | --- | --- |
| 22.4 | 3.962 | 42 |
| 26.5 | 3.368 | 36 |
| 29.5 | 3.024 | 27 |
| 30.4 | 2.938 | 48 |
| 31.2 | 2.862 | 64 |
| 31.7 | 2.826 | 100 |
| 32.0 | 2.801 | 69 |
| 32.9 | 2.720 | 83 |
| 35.2 | 2.551 | 47 |
| 37.6 | 2.395 | 29 |

Crystal structure
Cell lengths 9.3031, 9.3031, 12.0998 Å; angles 126.01, 126.01, 50.41 degrees
Atoms (fractional coordinates):
Pr: 0.2367 0.2367 0.1344
Pr: 0.7633 0.7633 0.8656
Ho: 0.1227 0.1227 0.5664
Ho: 0.1437 0.7282 0.2203
Ho: 0.2718 0.8563 0.7797
Ho: 0.2986 0.2986 0.9277
Ho: 0.3219 0.6781 0.0000
Ho: 0.6781 0.3219 0.0000
Ho: 0.7014 0.7014 0.0723
Ho: 0.7282 0.1437 0.2203
Ho: 0.8563 0.2718 0.7797
Ho: 0.8773 0.8773 0.4336
Tm: 0.0000 0.0000 0.0000
Tm: 0.1664 0.1664 0.3376
Tm: 0.3775 0.3775 0.6810
Tm: 0.5000 0.5000 0.5000
Tm: 0.6225 0.6225 0.3190
Tm: 0.8336 0.8336 0.6624